CuH10SO9: computed X-ray diffraction stick pattern (λ = 1.5418 Å (Cu Kα)), based on a PBE-relaxed structure.
Kinematic intensities with the Lorentz-polarization factor, no thermal factor.

The 6 most intense peaks (2θ from 15° to 90°), in order of rising 2θ:
- 2θ = 15.8°, d = 5.622 Å, intensity 65
- 2θ = 17.8°, d = 4.984 Å, intensity 37
- 2θ = 18.0°, d = 4.930 Å, intensity 83
- 2θ = 21.9°, d = 4.055 Å, intensity 100
- 2θ = 22.0°, d = 4.036 Å, intensity 33
- 2θ = 30.8°, d = 2.905 Å, intensity 34

Structural model:
abc: 6.4308 6.4538 10.9648
angles: 81.52 87.48 70.87
Element x y z (fractional)
Cu (0.0000, 0.0000, 0.0000)
Cu (0.0000, 0.5000, 0.5000)
H (0.0115, 0.2052, 0.6806)
H (0.1192, 0.2858, 0.1074)
H (0.1488, 0.6508, 0.8868)
H (0.1844, 0.1074, 0.4095)
H (0.2405, 0.7639, 0.5163)
H (0.2472, 0.1929, 0.7059)
H (0.2524, 0.6048, 0.6425)
H (0.3002, 0.0735, 0.3860)
H (0.4063, 0.1749, 0.8806)
H (0.4472, 0.9315, 0.8611)
H (0.5528, 0.0685, 0.1389)
H (0.5937, 0.8251, 0.1194)
H (0.6998, 0.9265, 0.6140)
H (0.7476, 0.3952, 0.3575)
H (0.7528, 0.8071, 0.2941)
H (0.7595, 0.2361, 0.4837)
H (0.8156, 0.8926, 0.5905)
H (0.8512, 0.3492, 0.1132)
H (0.8808, 0.7142, 0.8926)
H (0.9885, 0.7948, 0.3194)
S (0.4030, 0.4813, 0.2199)
S (0.5970, 0.5187, 0.7801)
O (0.0104, 0.7472, 0.9189)
O (0.1375, 0.2318, 0.6357)
O (0.1616, 0.6778, 0.5682)
O (0.2413, 0.7378, 0.1894)
O (0.2848, 0.8391, 0.0666)
O (0.3366, 0.0804, 0.8477)
O (0.3448, 0.4384, 0.3482)
O (0.3519, 0.3491, 0.1350)
O (0.3696, 0.5131, 0.7966)
O (0.6304, 0.4869, 0.2034)
O (0.6481, 0.6509, 0.8650)
O (0.6552, 0.5616, 0.6518)
O (0.6634, 0.9196, 0.1523)
O (0.7152, 0.1609, 0.9334)
O (0.7587, 0.2622, 0.8106)
O (0.8384, 0.3222, 0.4318)
O (0.8625, 0.7682, 0.3643)
O (0.9896, 0.2528, 0.0811)


CuH6SO7: computed X-ray diffraction stick pattern (λ = 1.5418 Å (Cu Kα)), based on a PBE-relaxed structure.
Kinematic intensities with the Lorentz-polarization factor, no thermal factor.

The 6 most intense peaks (2θ from 15° to 90°), in order of rising 2θ:
- 2θ = 17.4°, d = 5.088 Å, intensity 44
- 2θ = 19.8°, d = 4.483 Å, intensity 100
- 2θ = 25.0°, d = 3.563 Å, intensity 54
- 2θ = 25.8°, d = 3.449 Å, intensity 63
- 2θ = 29.5°, d = 3.030 Å, intensity 42
- 2θ = 35.6°, d = 2.523 Å, intensity 45

Structural model:
abc: 7.4349 7.4349 7.2283
angles: 93.57 93.57 136.15
Element x y z (fractional)
Cu (0.1390, 0.8610, 0.5000)
Cu (0.8610, 0.1390, 0.0000)
H (0.1444, 0.4552, 0.3225)
H (0.1570, 0.9702, 0.8584)
H (0.2509, 0.4219, 0.7945)
H (0.3430, 0.4228, 0.9997)
H (0.3801, 0.7556, 0.0136)
H (0.4219, 0.2509, 0.2945)
H (0.4228, 0.3430, 0.4997)
H (0.4552, 0.1444, 0.8225)
H (0.5130, 0.9072, 0.2225)
H (0.7556, 0.3801, 0.5136)
H (0.9072, 0.5130, 0.7225)
H (0.9702, 0.1570, 0.3584)
S (0.6128, 0.8263, 0.5759)
S (0.8263, 0.6128, 0.0759)
O (0.0477, 0.2766, 0.2607)
O (0.2152, 0.4138, 0.9263)
O (0.2766, 0.0477, 0.7607)
O (0.4138, 0.2152, 0.4263)
O (0.4474, 0.8067, 0.4277)
O (0.4632, 0.5598, 0.6220)
O (0.5205, 0.9340, 0.0872)
O (0.5598, 0.4632, 0.1220)
O (0.6639, 0.9946, 0.7447)
O (0.8067, 0.4474, 0.9277)
O (0.8621, 0.9484, 0.5124)
O (0.9340, 0.5205, 0.5872)
O (0.9484, 0.8621, 0.0124)
O (0.9946, 0.6639, 0.2447)


ZnCu2H4S2O8: computed X-ray diffraction stick pattern (λ = 1.5418 Å (Cu Kα)), based on a PBE-relaxed structure.
Kinematic intensities with the Lorentz-polarization factor, no thermal factor.

The 6 most intense peaks (2θ from 15° to 90°), in order of rising 2θ:
- 2θ = 18.2°, d = 4.878 Å, intensity 100
- 2θ = 22.1°, d = 4.026 Å, intensity 90
- 2θ = 29.7°, d = 3.012 Å, intensity 100
- 2θ = 33.8°, d = 2.654 Å, intensity 44
- 2θ = 34.8°, d = 2.581 Å, intensity 46
- 2θ = 35.8°, d = 2.509 Å, intensity 92

Structural model:
abc: 5.9127 7.9150 9.7655
angles: 90.00 124.41 90.00
Element x y z (fractional)
Zn (0.0000, 0.0000, 0.0000)
Zn (0.0000, 0.5000, 0.5000)
Cu (0.1927, 0.1306, 0.4505)
Cu (0.1927, 0.3694, 0.9505)
Cu (0.8073, 0.6306, 0.0495)
Cu (0.8073, 0.8694, 0.5495)
H (0.4773, 0.0140, 0.7378)
H (0.4773, 0.4860, 0.2378)
H (0.4768, 0.6147, 0.6044)
H (0.4768, 0.8853, 0.1044)
H (0.5232, 0.1147, 0.8956)
H (0.5232, 0.3853, 0.3956)
H (0.5227, 0.5140, 0.7622)
H (0.5227, 0.9860, 0.2622)
S (0.1292, 0.6266, 0.8706)
S (0.1292, 0.8734, 0.3706)
S (0.8708, 0.1266, 0.6294)
S (0.8708, 0.3734, 0.1294)
O (0.0385, 0.1386, 0.8207)
O (0.0385, 0.3614, 0.3207)
O (0.0397, 0.2346, 0.5850)
O (0.0397, 0.2654, 0.0850)
O (0.3952, 0.7214, 0.9406)
O (0.3952, 0.7786, 0.4406)
O (0.4158, 0.5187, 0.6410)
O (0.4158, 0.9813, 0.1410)
O (0.5842, 0.0187, 0.8590)
O (0.5842, 0.4813, 0.3590)
O (0.6048, 0.2214, 0.5594)
O (0.6048, 0.2786, 0.0594)
O (0.9603, 0.7346, 0.9150)
O (0.9603, 0.7654, 0.4150)
O (0.9615, 0.6386, 0.6793)
O (0.9615, 0.8614, 0.1793)